1.
Theoretical X-ray diffraction stick pattern
Compound: ReO2F3
Radiation: Cu Ka
Structure: a structure optimized by DFT (GGA-PBE)
Neutral-atom scattering factors, no anomalous dispersion.

The 6 most intense peaks (2θ from 10° to 90°), in order of rising 2θ:
2θ = 15.70°, I = 27; 2θ = 19.09°, I = 71; 2θ = 22.22°, I = 100; 2θ = 22.58°, I = 32; 2θ = 23.51°, I = 65; 2θ = 27.64°, I = 22

Atomic structure:
```
ReO2F3
1.0
5.726 0.000 0.000
0.000 5.098 0.000
-2.172 0.000 12.908
Re O F
4 8 12
Direct
0.176 0.210 0.363
0.176 0.290 0.863
0.824 0.710 0.137
0.824 0.790 0.637
0.244 0.092 0.968
0.244 0.408 0.468
0.331 0.567 0.902
0.331 0.933 0.402
0.669 0.067 0.598
0.669 0.433 0.098
0.756 0.592 0.532
0.756 0.908 0.032
0.039 0.013 0.219
0.039 0.487 0.719
0.122 0.604 0.111
0.122 0.896 0.611
0.385 0.155 0.782
0.385 0.345 0.282
0.615 0.655 0.718
0.615 0.845 0.218
0.878 0.104 0.389
0.878 0.396 0.889
0.961 0.513 0.281
0.961 0.987 0.781
```

=====

2.
Theoretical X-ray diffraction stick pattern
Compound: Re3S4O8F
Radiation: Cu Ka
Structure: a structure optimized by DFT (GGA-PBE)
Neutral-atom scattering factors, no anomalous dispersion.

The 6 most intense peaks (2θ from 10° to 90°), in order of rising 2θ:
2θ = 10.56°, I = 48; 2θ = 10.69°, I = 100; 2θ = 12.08°, I = 31; 2θ = 12.24°, I = 54; 2θ = 26.61°, I = 16; 2θ = 42.92°, I = 15

Atomic structure:
```
Re3S4O8F
1.0
5.491 -7.326 0.000
5.491 7.326 0.000
-3.748 0.000 8.376
Re S O F
6 8 16 2
Direct
0.050 0.210 0.042
0.059 0.059 0.259
0.275 0.067 0.069
0.790 0.950 0.958
0.933 0.725 0.931
0.941 0.941 0.741
0.134 0.820 0.823
0.180 0.866 0.177
0.195 0.176 0.864
0.282 0.289 0.277
0.711 0.718 0.723
0.817 0.135 0.807
0.824 0.805 0.136
0.865 0.183 0.193
0.072 0.608 0.460
0.099 0.130 0.464
0.124 0.468 0.604
0.390 0.551 0.927
0.392 0.928 0.540
0.449 0.610 0.073
0.459 0.084 0.566
0.481 0.142 0.120
0.532 0.876 0.396
0.536 0.403 0.926
0.554 0.119 0.481
0.597 0.464 0.074
0.858 0.519 0.880
0.870 0.901 0.536
0.881 0.446 0.519
0.916 0.541 0.434
0.088 0.443 0.092
0.557 0.912 0.908
```

=====

3.
Theoretical X-ray diffraction stick pattern
Compound: Re3Se4O8F
Radiation: Cu Ka
Structure: a structure optimized by DFT (GGA-PBE)
Neutral-atom scattering factors, no anomalous dispersion.

The 6 most intense peaks (2θ from 10° to 90°), in order of rising 2θ:
2θ = 10.24°, I = 100; 2θ = 11.74°, I = 26; 2θ = 11.87°, I = 44; 2θ = 35.31°, I = 9; 2θ = 39.43°, I = 11; 2θ = 48.27°, I = 8

Atomic structure:
```
Re3Se4O8F
1.0
5.736 -7.539 0.000
5.736 7.539 0.000
-3.768 0.000 8.665
Re Se O F
6 8 16 2
Direct
0.045 0.205 0.041
0.058 0.058 0.254
0.268 0.068 0.072
0.795 0.955 0.959
0.932 0.732 0.928
0.942 0.942 0.746
0.143 0.822 0.821
0.178 0.857 0.179
0.197 0.180 0.858
0.281 0.302 0.280
0.698 0.719 0.720
0.815 0.142 0.804
0.820 0.803 0.142
0.858 0.185 0.196
0.100 0.129 0.453
0.168 0.577 0.492
0.177 0.494 0.574
0.423 0.832 0.508
0.435 0.532 0.878
0.468 0.135 0.127
0.468 0.565 0.122
0.476 0.178 0.569
0.506 0.823 0.426
0.516 0.447 0.880
0.553 0.484 0.120
0.563 0.175 0.490
0.822 0.524 0.431
0.825 0.437 0.510
0.865 0.532 0.873
0.871 0.900 0.547
0.076 0.430 0.082
0.570 0.924 0.918
```

=====

4.
Theoretical X-ray diffraction stick pattern
Compound: Re6Se8O7F6
Radiation: Cu Ka
Structure: a structure optimized by DFT (GGA-PBE)
Neutral-atom scattering factors, no anomalous dispersion.

The 6 most intense peaks (2θ from 10° to 90°), in order of rising 2θ:
2θ = 10.42°, I = 70; 2θ = 10.77°, I = 100; 2θ = 14.17°, I = 14; 2θ = 14.44°, I = 18; 2θ = 15.55°, I = 11; 2θ = 44.85°, I = 11

Atomic structure:
```
Re6Se8O7F6
1.0
9.680 -6.251 0.000
9.680 6.251 0.000
-5.254 0.000 9.610
Re Se O F
12 16 14 12
Direct
0.001 0.650 0.655
0.007 0.393 0.606
0.184 0.444 0.550
0.350 0.999 0.845
0.393 0.007 0.106
0.444 0.184 0.050
0.556 0.816 0.950
0.607 0.993 0.894
0.650 0.001 0.155
0.816 0.556 0.450
0.993 0.607 0.394
0.999 0.350 0.345
0.130 0.526 0.840
0.181 0.401 0.310
0.183 0.676 0.597
0.188 0.210 0.515
0.210 0.188 0.015
0.324 0.817 0.903
0.401 0.181 0.810
0.474 0.870 0.660
0.526 0.130 0.340
0.599 0.819 0.190
0.676 0.183 0.097
0.790 0.812 0.985
0.812 0.790 0.485
0.817 0.324 0.403
0.819 0.599 0.690
0.870 0.474 0.160
0.060 0.587 0.970
0.123 0.877 0.250
0.154 0.803 0.137
0.197 0.846 0.363
0.413 0.940 0.530
0.455 0.543 0.474
0.457 0.545 0.026
0.543 0.455 0.974
0.545 0.457 0.526
0.587 0.060 0.470
0.803 0.154 0.637
0.846 0.197 0.863
0.877 0.123 0.750
0.940 0.413 0.030
0.005 0.289 0.707
0.008 0.185 0.196
0.185 0.008 0.696
0.289 0.005 0.207
0.361 0.404 0.677
0.404 0.361 0.177
0.596 0.639 0.823
0.639 0.596 0.323
0.711 0.995 0.793
0.815 0.992 0.304
0.992 0.815 0.804
0.995 0.711 0.293
```